No. 1
Starting from DFT lattice parameters and positions (GGA+U), the PXRD pattern of BaFe2O4 was calculated for Cu Ka.

Atomic structure:
```
BaFe2O4
1.0
5.5026 0.0000 0.0000
-2.7513 4.7654 0.0000
0.0000 0.0000 9.2406
Ba Fe O
2 4 8
direct
0.0000 0.0000 0.2500 Ba
0.0000 0.0000 0.7500 Ba
0.3333 0.6667 0.0477 Fe
0.3333 0.6667 0.4523 Fe
0.6667 0.3333 0.5477 Fe
0.6667 0.3333 0.9523 Fe
0.0000 0.3277 0.0000 O
0.0000 0.6723 0.5000 O
0.3277 0.0000 0.0000 O
0.3277 0.3277 0.5000 O
0.3333 0.6667 0.2500 O
0.6667 0.3333 0.7500 O
0.6723 0.0000 0.5000 O
0.6723 0.6723 0.0000 O
```

Principal peaks in the range 2θ from 15° to 90°, low angle first:
2θ 18.6, intensity 16; 2θ 21.0, intensity 14; 2θ 26.9, intensity 100; 2θ 32.5, intensity 61; 2θ 39.0, intensity 14; 2θ 42.7, intensity 29; 2θ 43.5, intensity 10; 2θ 51.7, intensity 17; 2θ 54.7, intensity 28; 2θ 58.1, intensity 17; 2θ 72.2, intensity 10; 2θ 74.7, intensity 12



No. 2
Starting from DFT lattice parameters and positions (GGA+U), the PXRD pattern of BaFe2O4 was calculated for Cu Ka.

Atomic structure:
```
BaFe2O4
1.0
-4.0583 4.0583 3.3853
4.0583 -4.0583 3.3853
4.0583 4.0583 -3.3853
Ba Fe O
2 4 8
direct
0.0000 0.0000 0.0000 Ba
0.7500 0.2500 0.5000 Ba
0.3089 0.6250 0.1839 Fe
0.3750 0.5589 0.6839 Fe
0.4411 0.1250 0.8161 Fe
0.8750 0.6911 0.3161 Fe
0.0751 0.8402 0.6469 O
0.1598 0.8068 0.2349 O
0.1781 0.4432 0.8531 O
0.1932 0.4281 0.3531 O
0.5568 0.4098 0.7349 O
0.5719 0.9249 0.7651 O
0.5902 0.3251 0.1469 O
0.6749 0.8219 0.2651 O
```

Principal peaks in the range 2θ from 15° to 90°, low angle first:
2θ 21.9, intensity 23; 2θ 27.9, intensity 100; 2θ 30.7, intensity 40; 2θ 35.7, intensity 11; 2θ 41.5, intensity 17; 2θ 42.3, intensity 25; 2θ 44.3, intensity 24; 2θ 44.7, intensity 12; 2θ 50.3, intensity 14; 2θ 55.1, intensity 12; 2θ 63.8, intensity 12; 2θ 64.7, intensity 11



No. 3
Starting from DFT lattice parameters and positions (GGA+U), the PXRD pattern of BaFeO4 was calculated for Cu Ka.

Atomic structure:
```
BaFeO4
1.0
5.2988 0.0000 0.0000
0.0000 5.2988 0.0000
0.0000 0.0000 7.0117
Ba Fe O
2 2 8
direct
0.2500 0.7500 0.2500 Ba
0.7500 0.2500 0.7500 Ba
0.2500 0.7500 0.7500 Fe
0.7500 0.2500 0.2500 Fe
0.0045 0.2500 0.1125 O
0.2500 0.0045 0.6125 O
0.2500 0.4955 0.6125 O
0.4955 0.2500 0.1125 O
0.5045 0.7500 0.8875 O
0.7500 0.5045 0.3875 O
0.7500 0.9955 0.3875 O
0.9955 0.7500 0.8875 O
```

Principal peaks in the range 2θ from 15° to 90°, low angle first:
2θ 21.0, intensity 17; 2θ 23.7, intensity 100; 2θ 25.4, intensity 38; 2θ 33.8, intensity 41; 2θ 35.1, intensity 74; 2θ 40.2, intensity 24; 2θ 42.8, intensity 42; 2θ 54.8, intensity 20; 2θ 55.6, intensity 21; 2θ 58.1, intensity 17; 2θ 61.3, intensity 28; 2θ 79.1, intensity 13



No. 4
Starting from DFT lattice parameters and positions (GGA+U), the PXRD pattern of BaFe4O7 was calculated for Cu Ka.

Atomic structure:
```
BaFe4O7
1.0
5.1159 0.0000 0.0000
-2.5579 4.4305 0.0000
0.0000 0.0000 13.9263
Ba Fe O
2 8 14
direct
0.3333 0.6667 0.2500 Ba
0.6667 0.3333 0.7500 Ba
0.0000 0.0000 0.1126 Fe
0.0000 0.0000 0.3874 Fe
0.0000 0.0000 0.6126 Fe
0.0000 0.0000 0.8874 Fe
0.3333 0.6667 0.5033 Fe
0.3333 0.6667 0.9967 Fe
0.6667 0.3333 0.0033 Fe
0.6667 0.3333 0.4967 Fe
0.0000 0.0000 0.2500 O
0.0000 0.0000 0.7500 O
0.0074 0.6449 0.0786 O
0.0074 0.6449 0.4214 O
0.3551 0.3625 0.0786 O
0.3551 0.3625 0.4214 O
0.3625 0.0074 0.5786 O
0.3625 0.0074 0.9214 O
0.6375 0.9926 0.0786 O
0.6375 0.9926 0.4214 O
0.6449 0.6375 0.5786 O
0.6449 0.6375 0.9214 O
0.9926 0.3551 0.5786 O
0.9926 0.3551 0.9214 O
```

Principal peaks in the range 2θ from 15° to 90°, low angle first:
2θ 21.0, intensity 82; 2θ 27.8, intensity 45; 2θ 32.7, intensity 100; 2θ 35.1, intensity 99; 2θ 38.2, intensity 15; 2θ 41.3, intensity 13; 2θ 43.9, intensity 27; 2θ 45.4, intensity 13; 2θ 48.7, intensity 35; 2θ 61.4, intensity 31; 2θ 62.9, intensity 30; 2θ 64.8, intensity 39



No. 5
Starting from DFT lattice parameters and positions (GGA+U), the PXRD pattern of BaFeO4 was calculated for Cu Ka.

Atomic structure:
```
BaFeO4
1.0
9.2261 0.0000 0.0000
0.0000 5.5691 0.0000
0.0000 0.0000 7.4406
Ba Fe O
4 4 16
direct
0.1827 0.2500 0.1545 Ba
0.3173 0.7500 0.6545 Ba
0.6827 0.2500 0.3455 Ba
0.8173 0.7500 0.8455 Ba
0.0606 0.2500 0.6925 Fe
0.4394 0.7500 0.1925 Fe
0.5606 0.2500 0.8075 Fe
0.9394 0.7500 0.3075 Fe
0.0842 0.0088 0.8230 O
0.0842 0.4912 0.8230 O
0.1063 0.7500 0.3848 O
0.1882 0.2500 0.5363 O
0.3118 0.7500 0.0363 O
0.3937 0.2500 0.8848 O
0.4158 0.5088 0.3230 O
0.4158 0.9912 0.3230 O
0.5842 0.0088 0.6770 O
0.5842 0.4912 0.6770 O
0.6063 0.7500 0.1152 O
0.6882 0.2500 0.9637 O
0.8118 0.7500 0.4637 O
0.8937 0.2500 0.6152 O
0.9158 0.5088 0.1770 O
0.9158 0.9912 0.1770 O
```

Principal peaks in the range 2θ from 15° to 90°, low angle first:
2θ 22.1, intensity 37; 2θ 23.9, intensity 26; 2θ 25.1, intensity 95; 2θ 25.8, intensity 55; 2θ 27.8, intensity 100; 2θ 30.5, intensity 64; 2θ 32.1, intensity 49; 2θ 41.0, intensity 80; 2θ 41.4, intensity 38; 2θ 41.7, intensity 48; 2θ 53.0, intensity 24; 2θ 58.2, intensity 29



Repeat the fifth record exactly.
Starting from DFT lattice parameters and positions (GGA+U), the PXRD pattern of BaFeO4 was calculated for Cu Ka.

Atomic structure:
```
BaFeO4
1.0
9.2261 0.0000 0.0000
0.0000 5.5691 0.0000
0.0000 0.0000 7.4406
Ba Fe O
4 4 16
direct
0.1827 0.2500 0.1545 Ba
0.3173 0.7500 0.6545 Ba
0.6827 0.2500 0.3455 Ba
0.8173 0.7500 0.8455 Ba
0.0606 0.2500 0.6925 Fe
0.4394 0.7500 0.1925 Fe
0.5606 0.2500 0.8075 Fe
0.9394 0.7500 0.3075 Fe
0.0842 0.0088 0.8230 O
0.0842 0.4912 0.8230 O
0.1063 0.7500 0.3848 O
0.1882 0.2500 0.5363 O
0.3118 0.7500 0.0363 O
0.3937 0.2500 0.8848 O
0.4158 0.5088 0.3230 O
0.4158 0.9912 0.3230 O
0.5842 0.0088 0.6770 O
0.5842 0.4912 0.6770 O
0.6063 0.7500 0.1152 O
0.6882 0.2500 0.9637 O
0.8118 0.7500 0.4637 O
0.8937 0.2500 0.6152 O
0.9158 0.5088 0.1770 O
0.9158 0.9912 0.1770 O
```

Principal peaks in the range 2θ from 15° to 90°, low angle first:
2θ 22.1, intensity 37; 2θ 23.9, intensity 26; 2θ 25.1, intensity 95; 2θ 25.8, intensity 55; 2θ 27.8, intensity 100; 2θ 30.5, intensity 64; 2θ 32.1, intensity 49; 2θ 41.0, intensity 80; 2θ 41.4, intensity 38; 2θ 41.7, intensity 48; 2θ 53.0, intensity 24; 2θ 58.2, intensity 29